# SrNd3Fe4As4O4
Theoretical X-ray powder pattern, copper Kα. Input: a DFT-relaxed cell (GGA+U, Alexandria).

The 10 most intense peaks (15° ≤ 2θ ≤ 90°), low angle first:
d_spacing, I/Imax
3.107, 100
2.908, 19
2.780, 20
2.507, 17
2.479, 17
2.056, 35
1.838, 31
1.715, 35
1.590, 13
1.140, 12

Crystal structure
```
16
Lattice="-2.908 2.908 9.487 2.908 -2.908 9.487 2.908 2.908 -9.487" Properties=species:S:1:pos:R:3 pbc="T T T"
Sr 0.000 0.000 0.000
Nd 2.908 0.000 2.363
Nd 0.000 0.000 9.643
Nd 0.000 2.908 2.363
Fe 1.453 1.453 -3.519
Fe 1.455 -1.455 5.968
Fe -1.455 1.455 5.968
Fe 1.455 1.455 5.968
As 0.000 0.000 4.344
As 2.908 0.000 7.579
As 0.000 0.000 13.833
As 0.000 2.908 7.579
O 1.487 1.487 1.290
O 1.420 -1.420 10.777
O -1.420 1.420 10.777
O 1.420 1.420 10.777
```